Structure and simulated X-ray powder pattern of LiHo7Ru4 (DFT lattice parameters and positions (PBE); a wavelength of 1.5418 Å).
Lines closer than 0.1° are merged.

Largest 8 diffraction maxima, by intensity, 2θ = 10–90°:
2θ = 37.1°, intensity 100
2θ = 38.3°, intensity 86
2θ = 34.7°, intensity 76
2θ = 25.7°, intensity 43
2θ = 27.1°, intensity 29
2θ = 32.7°, intensity 26
2θ = 38.6°, intensity 25
2θ = 63.7°, intensity 20

Structure:
Cell lengths 7.3557, 7.3557, 9.7709 Å; angles 124.22, 124.22, 41.21 degrees
Element x y z (fractional)
Li 0.0000 0.0000 0.0000
Ho 0.0773 0.0773 0.3565
Ho 0.2160 0.2160 0.8738
Ho 0.3295 0.3295 0.3787
Ho 0.5000 0.5000 0.0000
Ho 0.6705 0.6705 0.6213
Ho 0.7840 0.7840 0.1262
Ho 0.9227 0.9227 0.6435
Ru 0.3001 0.3001 0.6544
Ru 0.4351 0.4351 0.2177
Ru 0.5649 0.5649 0.7823
Ru 0.6999 0.6999 0.3456